Entry 1:
This entry pairs a crystal structure of Pm3PtCl3 with its simulated X-ray diffraction stick pattern. Radiation: copper Kα. Structure: a cell relaxed with GGA-PBE.
Intensities are scaled so that the largest is 1000.

Largest 8 diffraction maxima, in order of rising 2θ, 10 to 90 degrees two-theta:
- 2θ 10.6, intensity 1000
- 2θ 23.8, intensity 196
- 2θ 30.3, intensity 838
- 2θ 38.9, intensity 245
- 2θ 43.3, intensity 600
- 2θ 53.8, intensity 204
- 2θ 71.4, intensity 246
- 2θ 79.5, intensity 179

Structural model:
```
data_Pm3PtCl3
_cell_length_a 10.228
_cell_length_b 10.228
_cell_length_c 10.228
_cell_angle_alpha 109.47
_cell_angle_beta 109.47
_cell_angle_gamma 109.47
_symmetry_space_group_name_H-M 'P 1'
_symmetry_Int_Tables_number 1
loop_
_symmetry_equiv_pos_as_xyz
'x,y,z'
loop_
_atom_site_label
_atom_site_type_symbol
_atom_site_fract_x
_atom_site_fract_y
_atom_site_fract_z
Pm1 Pm 0.011 0.021 0.261
Pm2 Pm 0.011 0.489 0.750
Pm3 Pm 0.021 0.261 0.011
Pm4 Pm 0.239 0.261 0.750
Pm5 Pm 0.239 0.479 0.489
Pm6 Pm 0.261 0.011 0.021
Pm7 Pm 0.261 0.750 0.239
Pm8 Pm 0.479 0.489 0.239
Pm9 Pm 0.489 0.239 0.479
Pm10 Pm 0.489 0.750 0.011
Pm11 Pm 0.750 0.011 0.489
Pm12 Pm 0.750 0.239 0.261
Pt1 Pt 0.000 0.250 0.500
Pt2 Pt 0.250 0.250 0.250
Pt3 Pt 0.250 0.500 0.000
Pt4 Pt 0.500 0.000 0.250
Cl1 Cl 0.001 0.001 0.751
Cl2 Cl 0.001 0.499 0.250
Cl3 Cl 0.001 0.751 0.001
Cl4 Cl 0.250 0.001 0.499
Cl5 Cl 0.250 0.749 0.751
Cl6 Cl 0.499 0.250 0.001
Cl7 Cl 0.499 0.499 0.749
Cl8 Cl 0.499 0.749 0.499
Cl9 Cl 0.749 0.499 0.499
Cl10 Cl 0.749 0.751 0.250
Cl11 Cl 0.751 0.001 0.001
Cl12 Cl 0.751 0.250 0.749
```

=====

Entry 2:
This entry pairs a crystal structure of LiAc2Pt2O6 with its simulated X-ray diffraction stick pattern. Radiation: copper Kα. Structure: a cell relaxed with GGA-PBE.
Intensities are scaled so that the largest is 1000.

Largest 8 diffraction maxima, in order of rising 2θ, 10 to 90 degrees two-theta:
- 2θ 18.1, intensity 245
- 2θ 30.1, intensity 1000
- 2θ 32.4, intensity 638
- 2θ 32.7, intensity 170
- 2θ 44.8, intensity 303
- 2θ 45.1, intensity 280
- 2θ 53.5, intensity 205
- 2θ 54.9, intensity 337

Structural model:
```
data_LiAc2Pt2O6
_cell_length_a 6.456
_cell_length_b 6.456
_cell_length_c 6.456
_cell_angle_alpha 54.74
_cell_angle_beta 54.74
_cell_angle_gamma 54.74
_symmetry_space_group_name_H-M 'P 1'
_symmetry_Int_Tables_number 1
loop_
_symmetry_equiv_pos_as_xyz
'x,y,z'
loop_
_atom_site_label
_atom_site_type_symbol
_atom_site_fract_x
_atom_site_fract_y
_atom_site_fract_z
Li1 Li 0.000 0.000 0.000
Ac1 Ac 0.219 0.219 0.219
Ac2 Ac 0.781 0.781 0.781
Pt1 Pt 0.412 0.412 0.412
Pt2 Pt 0.588 0.588 0.588
O1 O 0.195 0.765 0.765
O2 O 0.235 0.235 0.805
O3 O 0.235 0.805 0.235
O4 O 0.765 0.195 0.765
O5 O 0.765 0.765 0.195
O6 O 0.805 0.235 0.235
```

=====

Entry 3:
This entry pairs a crystal structure of HfTaFe4 with its simulated X-ray diffraction stick pattern. Radiation: copper Kα. Structure: a cell relaxed with GGA-PBE.
Intensities are scaled so that the largest is 1000.

Largest 8 diffraction maxima, in order of rising 2θ, 10 to 90 degrees two-theta:
- 2θ 36.9, intensity 710
- 2θ 40.2, intensity 1000
- 2θ 43.6, intensity 960
- 2θ 44.4, intensity 482
- 2θ 68.7, intensity 399
- 2θ 71.1, intensity 252
- 2θ 74.7, intensity 260
- 2θ 78.5, intensity 207

Structural model:
```
data_HfTaFe4
_cell_length_a 4.874
_cell_length_b 4.874
_cell_length_c 7.955
_cell_angle_alpha 90.00
_cell_angle_beta 90.00
_cell_angle_gamma 120.00
_symmetry_space_group_name_H-M 'P 1'
_symmetry_Int_Tables_number 1
loop_
_symmetry_equiv_pos_as_xyz
'x,y,z'
loop_
_atom_site_label
_atom_site_type_symbol
_atom_site_fract_x
_atom_site_fract_y
_atom_site_fract_z
Hf1 Hf 0.333 0.667 0.066
Hf2 Hf 0.667 0.333 0.934
Ta1 Ta 0.333 0.667 0.442
Ta2 Ta 0.667 0.333 0.558
Fe1 Fe 0.000 0.000 0.000
Fe2 Fe 0.000 0.000 0.500
Fe3 Fe 0.168 0.337 0.745
Fe4 Fe 0.168 0.832 0.745
Fe5 Fe 0.337 0.168 0.255
Fe6 Fe 0.663 0.832 0.745
Fe7 Fe 0.832 0.168 0.255
Fe8 Fe 0.832 0.663 0.255
```

=====

Entry 4:
This entry pairs a crystal structure of SmY2SbO8 with its simulated X-ray diffraction stick pattern. Radiation: copper Kα. Structure: a cell relaxed with GGA-PBE.
Intensities are scaled so that the largest is 1000.

Largest 8 diffraction maxima, in order of rising 2θ, 10 to 90 degrees two-theta:
- 2θ 26.6, intensity 623
- 2θ 28.6, intensity 538
- 2θ 29.6, intensity 1000
- 2θ 32.7, intensity 397
- 2θ 44.2, intensity 241
- 2θ 46.7, intensity 428
- 2θ 49.2, intensity 347
- 2θ 53.0, intensity 193

Structural model:
```
data_SmY2SbO8
_cell_length_a 4.107
_cell_length_b 7.371
_cell_length_c 5.269
_cell_angle_alpha 90.00
_cell_angle_beta 94.09
_cell_angle_gamma 90.00
_symmetry_space_group_name_H-M 'P 1'
_symmetry_Int_Tables_number 1
loop_
_symmetry_equiv_pos_as_xyz
'x,y,z'
loop_
_atom_site_label
_atom_site_type_symbol
_atom_site_fract_x
_atom_site_fract_y
_atom_site_fract_z
Sm1 Sm 0.000 0.000 0.000
Y1 Y 0.500 0.253 0.500
Y2 Y 0.500 0.747 0.500
Sb1 Sb 0.000 0.500 0.000
O1 O 0.047 0.286 0.756
O2 O 0.047 0.714 0.756
O3 O 0.427 0.500 0.213
O4 O 0.494 0.000 0.253
O5 O 0.506 0.000 0.747
O6 O 0.573 0.500 0.787
O7 O 0.953 0.286 0.244
O8 O 0.953 0.714 0.244
```

=====

Entry 5:
This entry pairs a crystal structure of Tb2Pr4Dy with its simulated X-ray diffraction stick pattern. Radiation: copper Kα. Structure: a cell relaxed with GGA-PBE.
Intensities are scaled so that the largest is 1000.

Largest 8 diffraction maxima, in order of rising 2θ, 10 to 90 degrees two-theta:
- 2θ 29.9, intensity 1000
- 2θ 30.4, intensity 307
- 2θ 31.1, intensity 650
- 2θ 31.8, intensity 314
- 2θ 32.0, intensity 232
- 2θ 36.7, intensity 281
- 2θ 50.0, intensity 205
- 2θ 54.6, intensity 182

Structural model:
```
data_Tb2Pr4Dy
_cell_length_a 12.674
_cell_length_b 12.674
_cell_length_c 6.882
_cell_angle_alpha 97.00
_cell_angle_beta 97.00
_cell_angle_gamma 150.17
_symmetry_space_group_name_H-M 'P 1'
_symmetry_Int_Tables_number 1
loop_
_symmetry_equiv_pos_as_xyz
'x,y,z'
loop_
_atom_site_label
_atom_site_type_symbol
_atom_site_fract_x
_atom_site_fract_y
_atom_site_fract_z
Tb1 Tb 0.091 0.909 0.500
Tb2 Tb 0.388 0.707 0.095
Tb3 Tb 0.707 0.388 0.595
Tb4 Tb 0.909 0.091 0.000
Pr1 Pr 0.218 0.828 0.149
Pr2 Pr 0.299 0.837 0.681
Pr3 Pr 0.415 0.453 0.912
Pr4 Pr 0.453 0.415 0.412
Pr5 Pr 0.828 0.218 0.649
Pr6 Pr 0.837 0.299 0.181
Pr7 Pr 0.866 0.975 0.446
Pr8 Pr 0.975 0.866 0.946
Dy1 Dy 0.343 0.593 0.548
Dy2 Dy 0.593 0.343 0.048
```

=====

Entry 6:
This entry pairs a crystal structure of Ce2MnGa2Ge4 with its simulated X-ray diffraction stick pattern. Radiation: copper Kα. Structure: a cell relaxed with GGA-PBE.
Intensities are scaled so that the largest is 1000.

Largest 8 diffraction maxima, in order of rising 2θ, 10 to 90 degrees two-theta:
- 2θ 28.6, intensity 186
- 2θ 35.1, intensity 1000
- 2θ 40.5, intensity 461
- 2θ 41.4, intensity 206
- 2θ 58.6, intensity 139
- 2θ 59.3, intensity 254
- 2θ 70.2, intensity 212
- 2θ 74.3, intensity 116

Structural model:
```
data_Ce2MnGa2Ge4
_cell_length_a 6.235
_cell_length_b 6.235
_cell_length_c 6.235
_cell_angle_alpha 119.32
_cell_angle_beta 119.32
_cell_angle_gamma 91.18
_symmetry_space_group_name_H-M 'P 1'
_symmetry_Int_Tables_number 1
loop_
_symmetry_equiv_pos_as_xyz
'x,y,z'
loop_
_atom_site_label
_atom_site_type_symbol
_atom_site_fract_x
_atom_site_fract_y
_atom_site_fract_z
Ce1 Ce 0.250 0.750 0.500
Ce2 Ce 0.750 0.250 0.500
Mn1 Mn 0.000 0.000 0.000
Ga1 Ga 0.285 0.285 0.000
Ga2 Ga 0.715 0.715 0.000
Ge1 Ge 0.277 0.277 0.554
Ge2 Ge 0.277 0.723 0.000
Ge3 Ge 0.723 0.277 0.000
Ge4 Ge 0.723 0.723 0.446
```

=====

Entry 7:
This entry pairs a crystal structure of Ac4Te7Pb with its simulated X-ray diffraction stick pattern. Radiation: copper Kα. Structure: a cell relaxed with GGA-PBE.
Intensities are scaled so that the largest is 1000.

Largest 8 diffraction maxima, in order of rising 2θ, 10 to 90 degrees two-theta:
- 2θ 20.0, intensity 763
- 2θ 25.9, intensity 1000
- 2θ 26.3, intensity 535
- 2θ 27.3, intensity 883
- 2θ 28.3, intensity 582
- 2θ 34.9, intensity 593
- 2θ 37.9, intensity 497
- 2θ 38.9, intensity 763

Structural model:
```
data_Ac4Te7Pb
_cell_length_a 8.080
_cell_length_b 8.080
_cell_length_c 13.867
_cell_angle_alpha 104.63
_cell_angle_beta 104.63
_cell_angle_gamma 33.30
_symmetry_space_group_name_H-M 'P 1'
_symmetry_Int_Tables_number 1
loop_
_symmetry_equiv_pos_as_xyz
'x,y,z'
loop_
_atom_site_label
_atom_site_type_symbol
_atom_site_fract_x
_atom_site_fract_y
_atom_site_fract_z
Ac1 Ac 0.000 0.000 0.000
Ac2 Ac 0.205 0.205 0.776
Ac3 Ac 0.594 0.594 0.379
Ac4 Ac 0.898 0.898 0.562
Te1 Te 0.150 0.150 0.221
Te2 Te 0.237 0.237 0.525
Te3 Te 0.357 0.357 0.030
Te4 Te 0.559 0.559 0.622
Te5 Te 0.622 0.622 0.920
Te6 Te 0.856 0.856 0.780
Te7 Te 0.935 0.935 0.342
Pb1 Pb 0.768 0.768 0.141
```